(1)
Simulated powder diffraction line list
Compound: Ba2CrN3
Radiation: λ = 1.5418 Å (Cu Kα)
Structure: a cell relaxed with PBE
Peak positions follow from Bragg's law for the DFT cell and can differ from measured ones.

Cell and atoms:
abc: 5.850 11.708 12.946
angles: 90.00 90.00 90.00
Space group Cmce (No. 64)
Symmetry-distinct sites (fractional):
1 Ba 0.000 0.062 0.140 (multiplicity 8)
2 Ba 0.000 0.143 0.582 (multiplicity 8)
3 Cr 0.000 0.239 0.332 (multiplicity 8)
4 N 0.000 0.095 0.369 (multiplicity 8)
5 N 0.000 0.168 0.940 (multiplicity 8)
6 N 0.250 0.236 0.750 (multiplicity 8)

Peak list (12 most intense, 10° ≤ 2θ ≤ 80°, low angle first)
Position (°2θ), I_rel, (hkl)
21.84, 31.0, 1 1 2
26.78, 30.9, 1 1 3
27.56, 37.5, 0 0 4
28.34, 54.2, 1 3 1
30.56, 74.1, 2 0 0
30.81, 100.0, 1 3 2
31.33, 21.9, 0 4 1
32.53, 25.8, 1 1 4
38.00, 24.2, 0 2 5
41.62, 31.8, 2 0 4
49.51, 24.9, 2 2 5
54.48, 19.6, 3 3 2

***

(2)
Simulated powder diffraction line list
Compound: Pm2NdSm6Er
Radiation: λ = 1.5418 Å (Cu Kα)
Structure: a cell relaxed with PBE
Peak positions follow from Bragg's law for the DFT cell and can differ from measured ones.

Cell and atoms:
abc: 9.198 15.289 9.788
angles: 90.00 98.09 90.00
Space group C2/c (No. 15)
Symmetry-distinct sites (fractional):
1 Pm 0.249 0.051 0.044 (multiplicity 8)
2 Nd 0.000 0.021 0.750 (multiplicity 4)
3 Sm 0.065 0.187 0.444 (multiplicity 8)
4 Sm 0.100 0.394 0.620 (multiplicity 8)
5 Sm 0.207 0.223 0.813 (multiplicity 8)
6 Er 0.000 0.409 0.250 (multiplicity 4)

Peak list (12 most intense, 10° ≤ 2θ ≤ 80°, low angle first)
Position (°2θ), I_rel, (hkl)
27.52, 16.6, 2 2 -2
28.15, 38.1, 1 3 2
30.03, 44.6, 0 2 3
30.16, 57.7, 3 1 -1
30.85, 47.7, 1 5 0
31.08, 100.0, 2 2 2
31.82, 17.7, 1 5 -1
33.13, 56.1, 1 3 -3
33.78, 15.1, 2 2 -3
37.55, 17.2, 3 1 2
55.63, 14.3, 5 3 1
59.53, 18.9, 4 0 4

***

(3)
Simulated powder diffraction line list
Compound: RbSi2IrS8
Radiation: λ = 1.5418 Å (Cu Kα)
Structure: a cell relaxed with PBE
Peak positions follow from Bragg's law for the DFT cell and can differ from measured ones.

Cell and atoms:
abc: 5.9241 5.9241 10.1959
angles: 90.00 90.00 120.00
Space group P-3 (No. 147)
Symmetry-distinct sites (fractional):
1 Rb 0.0000 0.0000 0.0000 (multiplicity 1)
2 Si 0.3333 0.6667 0.6916 (multiplicity 2)
3 Ir 0.0000 0.0000 0.5000 (multiplicity 1)
4 S 0.0199 0.6679 0.3808 (multiplicity 6)
5 S 0.3333 0.6667 0.8927 (multiplicity 2)

Peak list (12 most intense, 10° ≤ 2θ ≤ 80°, low angle first)
Position (°2θ), I_rel, (hkl)
17.28, 53.9, 1 0 0
17.40, 30.2, 0 0 2
19.37, 39.3, 0 1 1
24.62, 100.0, 1 0 2
30.17, 31.9, 1 1 0
35.02, 52.7, 2 -1 2
39.32, 29.0, 2 0 2
39.48, 34.2, 1 0 4
47.03, 20.7, 2 -1 4
50.35, 28.5, 2 1 2
53.59, 22.6, 3 0 0
59.94, 18.7, 3 -1 4

***

(4)
Simulated powder diffraction line list
Compound: LiTeRuRh
Radiation: λ = 1.5418 Å (Cu Kα)
Structure: a cell relaxed with PBE
Peak positions follow from Bragg's law for the DFT cell and can differ from measured ones.

Cell and atoms:
abc: 6.177 6.177 6.177
angles: 90.00 90.00 90.00
Space group F-43m (No. 216)
Symmetry-distinct sites (fractional):
1 Li 0.000 0.000 0.000 (multiplicity 4)
2 Te 0.000 0.000 0.500 (multiplicity 4)
3 Ru 0.250 0.250 0.250 (multiplicity 4)
4 Rh 0.250 0.250 0.750 (multiplicity 4)

Peak list (9 most intense, 10° ≤ 2θ ≤ 80°, low angle first)
Position (°2θ), I_rel, (hkl)
24.97, 31.7, 1 1 1
28.91, 7.6, 2 0 0
41.34, 100.0, 2 2 0
48.91, 15.2, 3 1 1
51.23, 1.9, 2 2 2
59.90, 16.5, 4 0 0
65.92, 6.1, 3 3 1
67.86, 2.4, 4 2 0
75.39, 32.9, 4 2 2

***

(5)
Simulated powder diffraction line list
Compound: NaLiB
Radiation: λ = 1.5418 Å (Cu Kα)
Structure: a cell relaxed with PBE
Peak positions follow from Bragg's law for the DFT cell and can differ from measured ones.

Cell and atoms:
abc: 4.758 5.243 5.426
angles: 106.40 106.09 106.12
Space group P1 (No. 1)
Symmetry-distinct sites (fractional):
1 Na 0.000 0.000 0.000 (multiplicity 1)
2 Na 0.267 0.505 0.685 (multiplicity 1)
3 Li 0.616 0.961 0.429 (multiplicity 1)
4 Li 0.765 0.473 0.167 (multiplicity 1)
5 B 0.122 0.913 0.502 (multiplicity 1)
6 B 0.420 0.077 0.774 (multiplicity 1)

Peak list (12 most intense, 10° ≤ 2θ ≤ 80°, low angle first)
Position (°2θ), I_rel, (hkl)
18.48, 90.2, 0 0 1
21.07, 100.0, 1 0 0
22.04, 66.3, 1 0 -1
28.71, 77.0, -1 1 1
29.97, 79.2, 1 1 -1
33.25, 91.7, 1 0 1
34.75, 69.9, 0 1 -2
35.16, 77.0, 1 0 -2
37.59, 96.5, 1 -2 1
38.82, 86.3, 0 2 0
39.51, 95.7, 2 0 -1
49.05, 64.1, 0 1 2

***

(6)
Simulated powder diffraction line list
Compound: Sr3AlAu3
Radiation: λ = 1.5418 Å (Cu Kα)
Structure: a cell relaxed with PBE
Peak positions follow from Bragg's law for the DFT cell and can differ from measured ones.

Cell and atoms:
abc: 11.937 4.472 15.722
angles: 90.00 110.76 90.00
Space group C2/m (No. 12)
Symmetry-distinct sites (fractional):
1 Sr 0.018 0.000 0.384 (multiplicity 4)
2 Sr 0.102 0.000 0.921 (multiplicity 4)
3 Sr 0.243 0.000 0.232 (multiplicity 4)
4 Al 0.239 0.500 0.411 (multiplicity 4)
5 Au 0.048 0.500 0.246 (multiplicity 4)
6 Au 0.114 0.500 0.078 (multiplicity 4)
7 Au 0.144 0.500 0.545 (multiplicity 4)

Peak list (12 most intense, 10° ≤ 2θ ≤ 80°, low angle first)
Position (°2θ), I_rel, (hkl)
21.41, 52.5, 1 1 0
23.18, 29.1, 2 0 2
26.01, 23.7, 1 1 2
29.97, 48.7, 4 0 -2
30.16, 58.5, 3 1 -1
30.28, 95.9, 1 1 -4
34.07, 37.3, 3 1 -4
35.65, 32.6, 4 0 -5
36.69, 100.0, 3 1 2
40.34, 46.2, 0 2 0
45.40, 22.5, 2 0 6
57.90, 24.5, 7 1 -3

***

(7)
Simulated powder diffraction line list
Compound: K2CeDyO4
Radiation: λ = 1.5418 Å (Cu Kα)
Structure: a cell relaxed with PBE
Peak positions follow from Bragg's law for the DFT cell and can differ from measured ones.

Cell and atoms:
abc: 6.185 3.566 6.604
angles: 90.00 108.11 90.00
Space group P2/m (No. 10)
Symmetry-distinct sites (fractional):
1 K 0.000 0.000 0.000 (multiplicity 1)
2 K 0.500 0.500 0.000 (multiplicity 1)
3 Ce 0.000 0.500 0.500 (multiplicity 1)
4 Dy 0.500 0.000 0.500 (multiplicity 1)
5 O 0.238 0.000 0.688 (multiplicity 2)
6 O 0.279 0.500 0.314 (multiplicity 2)

Peak list (12 most intense, 10° ≤ 2θ ≤ 80°, low angle first)
Position (°2θ), I_rel, (hkl)
14.11, 89.1, 0 0 1
28.44, 32.6, 0 0 2
29.28, 34.9, 1 1 0
30.44, 73.3, 2 0 0
34.72, 100.0, 1 1 1
37.65, 13.4, 2 0 1
44.66, 18.9, 2 0 -3
48.62, 33.0, 2 0 2
51.20, 32.3, 0 2 0
53.38, 18.5, 3 1 -2
59.60, 24.7, 3 1 -3
60.74, 10.8, 4 0 -2

***

(8)
Simulated powder diffraction line list
Compound: Sr5Mo
Radiation: λ = 1.5418 Å (Cu Kα)
Structure: a cell relaxed with PBE
Peak positions follow from Bragg's law for the DFT cell and can differ from measured ones.

Cell and atoms:
abc: 14.101 4.056 10.052
angles: 90.00 112.23 90.00
Space group C2/m (No. 12)
Symmetry-distinct sites (fractional):
1 Sr 0.000 0.000 0.000 (multiplicity 2)
2 Sr 0.129 0.500 0.373 (multiplicity 4)
3 Sr 0.164 0.500 0.779 (multiplicity 4)
4 Mo 0.000 0.000 0.500 (multiplicity 2)

Peak list (12 most intense, 10° ≤ 2θ ≤ 80°, low angle first)
Position (°2θ), I_rel, (hkl)
25.28, 16.1, 4 0 -1
26.77, 55.3, 4 0 -2
27.43, 63.3, 2 0 2
28.28, 99.0, 1 1 -2
30.12, 100.0, 3 1 0
31.35, 16.1, 4 0 -3
34.97, 19.7, 1 1 -3
42.20, 18.4, 5 1 -3
44.69, 19.5, 0 2 0
47.82, 13.1, 1 1 4
51.37, 25.4, 5 1 2
53.23, 23.0, 2 2 2

***

(9)
Simulated powder diffraction line list
Compound: ZrNb4Rh5
Radiation: λ = 1.5418 Å (Cu Kα)
Structure: a cell relaxed with PBE
Peak positions follow from Bragg's law for the DFT cell and can differ from measured ones.

Cell and atoms:
abc: 2.910 3.848 14.626
angles: 90.00 90.00 90.00
Space group Pmmm (No. 47)
Symmetry-distinct sites (fractional):
1 Zr 0.000 0.000 0.000 (multiplicity 1)
2 Nb 0.000 0.000 0.208 (multiplicity 2)
3 Nb 0.000 0.000 0.403 (multiplicity 2)
4 Rh 0.500 0.500 0.106 (multiplicity 2)
5 Rh 0.500 0.500 0.303 (multiplicity 2)
6 Rh 0.500 0.500 0.500 (multiplicity 1)

Peak list (12 most intense, 10° ≤ 2θ ≤ 80°, low angle first)
Position (°2θ), I_rel, (hkl)
33.81, 0.9, 0 1 4
38.66, 98.4, 0 1 5
38.80, 100.0, 1 1 0
43.89, 69.5, 1 0 5
47.24, 28.2, 0 2 0
48.73, 0.9, 1 0 6
63.62, 10.2, 0 0 10
64.00, 11.1, 2 0 0
66.44, 38.5, 1 2 5
70.81, 1.4, 0 0 11
77.07, 23.0, 1 1 10
77.33, 24.6, 2 1 5

***

(10)
Simulated powder diffraction line list
Compound: Sm2Y3S4
Radiation: λ = 1.5418 Å (Cu Kα)
Structure: a cell relaxed with PBE
Peak positions follow from Bragg's law for the DFT cell and can differ from measured ones.

Cell and atoms:
abc: 3.9187 3.9187 16.0561
angles: 90.00 90.00 120.00
Space group P-3m1 (No. 164)
Symmetry-distinct sites (fractional):
1 Sm 0.3333 0.6667 0.2065 (multiplicity 2)
2 Y 0.0000 0.0000 0.0000 (multiplicity 1)
3 Y 0.3333 0.6667 0.5909 (multiplicity 2)
4 S 0.0000 0.0000 0.3107 (multiplicity 2)
5 S 0.3333 0.6667 0.9009 (multiplicity 2)

Peak list (12 most intense, 10° ≤ 2θ ≤ 80°, low angle first)
Position (°2θ), I_rel, (hkl)
26.85, 14.9, 0 1 1
27.78, 18.7, 0 0 5
28.56, 37.0, 0 1 2
31.21, 100.0, 1 0 3
34.61, 11.7, 1 0 4
43.05, 21.8, 0 1 6
46.34, 36.9, 1 1 0
47.86, 17.2, 0 1 7
54.89, 17.5, 1 1 5
56.93, 17.2, 0 2 3
76.35, 14.3, 2 1 3
76.74, 13.2, 1 1 10